The following is a computed powder diffraction line list of Sm6Sb3Ru. It was derived from a cell relaxed with GGA-PBE, using λ = 1.5418 Å (Cu Kα).
Intensities are scaled so that the largest is 100.

Main lines, sorted by position (2θ from 5° to 70°):
index	Position (°2θ)	d (Å)	I (rel.)
1 2 0	26.24	3.396	22.8
1 0 -4	28.05	3.181	27.6
2 1 -2	28.73	3.107	28.5
2 1 -1	29.80	2.998	100.0
1 1 -4	30.01	2.977	76.8
0 2 3	32.49	2.756	25.3
0 0 4	32.80	2.731	23.2
1 3 -1	34.62	2.591	56.2
1 4 -1	45.08	2.011	30.0
2 3 1	49.02	1.858	22.1

```
data_Sm6Sb3Ru
_chemical_formula_sum 'Sm12 Sb6 Ru2'
_space_group_name_H-M_alt 'P 1 21/c 1'
_space_group_IT_number 14
_cell_length_a 6.685
_cell_length_b 8.432
_cell_length_c 12.736
_cell_angle_alpha 90.00
_cell_angle_beta 120.95
_cell_angle_gamma 90.00
loop_
_space_group_symop_operation_xyz
'x,y,z'
'-x,-y,-z'
'-x,y+1/2,-z+1/2'
'x,-y+1/2,z+1/2'
loop_
_atom_site_label
_atom_site_fract_x
_atom_site_fract_y
_atom_site_fract_z
Sm1 0.069 0.197 0.439
Sm2 0.288 0.660 0.434
Sm3 0.377 0.042 0.233
Sb1 0.164 0.117 0.738
Sb2 0.500 0.000 0.500
Ru1 0.000 0.000 0.000
```